Entry 1:
# Ba4TeOs
Computed X-ray diffraction stick pattern, Cu Kα (weighted mean of Kα1 and Kα2). Input: a structure optimized by DFT (GGA-PBE).

Atomic structure:
```
Ba4TeOs
1.0
0.000 4.859 4.859
4.859 0.000 4.859
4.859 4.859 0.000
Ba Te Os
4 1 1
Direct
0.124 0.124 0.124
0.124 0.124 0.627
0.124 0.627 0.124
0.627 0.124 0.124
0.500 0.500 0.500
0.750 0.750 0.750
```

Main lines, most intense first (15° ≤ 2θ ≤ 90°):
2θ (°)	I_rel
30.51	100
48.69	36
31.90	36
25.93	31
53.33	31
75.09	23
63.51	15
45.74	13
62.70	13
86.80	13

Entry 2:
# Pr6OsBr10
Computed X-ray diffraction stick pattern, Cu Kα (weighted mean of Kα1 and Kα2). Input: a structure optimized by DFT (GGA-PBE).

Atomic structure:
```
Pr6OsBr10
1.0
7.763 0.000 0.000
-2.588 9.121 0.000
-1.123 -3.541 9.084
Pr Os Br
6 1 10
Direct
0.034 0.215 0.413
0.136 0.556 0.252
0.369 0.645 0.688
0.631 0.355 0.312
0.864 0.444 0.748
0.966 0.785 0.587
0.000 0.500 0.500
0.092 0.872 0.334
0.208 0.249 0.156
0.242 0.579 0.948
0.343 0.957 0.774
0.449 0.324 0.579
0.551 0.676 0.421
0.657 0.043 0.226
0.758 0.421 0.052
0.792 0.751 0.844
0.908 0.128 0.666
```

Main lines, most intense first (15° ≤ 2θ ≤ 90°):
2θ (°)	I_rel
28.33	100
28.82	98
29.86	84
40.85	70
42.16	33
41.79	33
40.62	32
42.62	31
50.73	21
52.42	17

Entry 3:
# Na2Hg2BiPd5
Computed X-ray diffraction stick pattern, Cu Kα (weighted mean of Kα1 and Kα2). Input: a structure optimized by DFT (GGA-PBE).

Atomic structure:
```
Na2Hg2BiPd5
1.0
9.940 0.000 0.000
0.000 9.940 0.000
0.000 0.000 4.069
Na Hg Bi Pd
4 4 2 10
Direct
0.169 0.331 0.000
0.331 0.831 0.000
0.669 0.169 0.000
0.831 0.669 0.000
0.130 0.630 0.000
0.370 0.130 0.000
0.630 0.870 0.000
0.870 0.370 0.000
0.000 0.000 0.000
0.500 0.500 0.000
0.000 0.500 0.500
0.063 0.802 0.500
0.198 0.063 0.500
0.302 0.563 0.500
0.437 0.302 0.500
0.500 0.000 0.500
0.563 0.698 0.500
0.698 0.437 0.500
0.802 0.937 0.500
0.937 0.198 0.500
```

Main lines, most intense first (15° ≤ 2θ ≤ 90°):
2θ (°)	I_rel
36.11	100
19.97	56
39.48	36
44.54	22
17.85	18
33.70	16
70.89	12
40.59	12
76.65	12
76.50	11

Entry 4:
# PmPr2Sm12
Computed X-ray diffraction stick pattern, Cu Kα (weighted mean of Kα1 and Kα2). Input: a structure optimized by DFT (GGA-PBE).

Atomic structure:
```
PmPr2Sm12
1.0
3.591 -5.791 0.000
3.591 5.791 0.000
0.000 0.000 25.095
Pm Pr Sm
2 4 24
Direct
0.250 0.750 0.999
0.750 0.250 0.001
0.250 0.750 0.267
0.250 0.750 0.726
0.750 0.250 0.274
0.750 0.250 0.733
0.002 0.502 0.872
0.002 0.998 0.077
0.019 0.519 0.418
0.023 0.977 0.559
0.250 0.250 0.200
0.250 0.250 0.328
0.250 0.250 0.672
0.250 0.250 0.800
0.477 0.523 0.559
0.481 0.981 0.418
0.498 0.502 0.077
0.498 0.998 0.872
0.502 0.002 0.128
0.502 0.498 0.923
0.519 0.019 0.582
0.523 0.477 0.441
0.750 0.750 0.200
0.750 0.750 0.328
0.750 0.750 0.672
0.750 0.750 0.800
0.977 0.023 0.441
0.981 0.481 0.582
0.998 0.002 0.923
0.998 0.498 0.128
```

Main lines, most intense first (15° ≤ 2θ ≤ 90°):
2θ (°)	I_rel
30.13	100
30.88	100
29.30	75
32.46	71
36.44	60
32.63	57
31.20	32
60.70	31
28.64	30
57.47	29

Entry 5:
# LiSm6Te8
Computed X-ray diffraction stick pattern, Cu Kα (weighted mean of Kα1 and Kα2). Input: a structure optimized by DFT (GGA-PBE).

Atomic structure:
```
LiSm6Te8
1.0
0.000 6.256 6.256
6.256 0.000 6.256
6.256 6.256 0.000
Li Sm Te
1 6 8
Direct
0.000 0.000 0.000
0.000 0.000 0.500
0.000 0.500 0.000
0.000 0.500 0.500
0.500 0.000 0.000
0.500 0.000 0.500
0.500 0.500 0.000
0.248 0.248 0.752
0.248 0.752 0.248
0.248 0.752 0.752
0.250 0.250 0.250
0.750 0.750 0.750
0.752 0.248 0.248
0.752 0.248 0.752
0.752 0.752 0.248
```

Main lines, most intense first (15° ≤ 2θ ≤ 90°):
2θ (°)	I_rel
28.53	100
40.80	76
66.88	35
50.54	27
74.27	26
59.06	13
20.07	11
88.38	8
31.99	7
35.14	6

Entry 6:
# Sb8H
Computed X-ray diffraction stick pattern, Cu Kα (weighted mean of Kα1 and Kα2). Input: a structure optimized by DFT (GGA-PBE).

Atomic structure:
```
Sb8H
1.0
6.555 -4.367 0.000
6.555 4.367 0.000
-0.276 0.000 4.551
Sb H
8 1
Direct
0.131 0.637 0.968
0.147 0.147 0.468
0.363 0.869 0.032
0.383 0.383 0.536
0.617 0.617 0.464
0.637 0.131 0.968
0.853 0.853 0.532
0.869 0.363 0.032
0.000 0.000 0.500
```

Main lines, most intense first (15° ≤ 2θ ≤ 90°):
2θ (°)	I_rel
28.32	100
27.26	51
40.57	36
38.84	35
50.22	29
41.35	19
39.61	18
58.59	11
73.70	10
67.56	9

Entry 7:
# Rb2GaSi
Computed X-ray diffraction stick pattern, Cu Kα (weighted mean of Kα1 and Kα2). Input: a structure optimized by DFT (GGA-PBE).

Atomic structure:
```
Rb2GaSi
1.0
-2.143 5.351 3.338
2.143 -5.351 3.338
2.143 5.351 -3.338
Rb Ga Si
2 1 1
Direct
0.179 0.000 0.179
0.821 0.000 0.821
0.641 0.141 0.500
0.474 0.474 0.000
```

Main lines, most intense first (15° ≤ 2θ ≤ 90°):
2θ (°)	I_rel
28.36	100
24.68	92
32.66	50
35.09	37
26.70	36
51.60	36
29.87	34
49.17	28
42.67	24
42.17	20

Entry 8:
# FeCu2C6N6
Computed X-ray diffraction stick pattern, Cu Kα (weighted mean of Kα1 and Kα2). Input: a structure optimized by DFT (GGA-PBE).

Atomic structure:
```
FeCu2C6N6
1.0
0.000 5.093 5.093
5.093 0.000 5.093
5.093 5.093 0.000
Fe Cu C N
1 2 6 6
Direct
0.000 0.000 0.000
0.500 0.500 0.500
0.750 0.750 0.750
0.185 0.185 0.815
0.185 0.815 0.185
0.185 0.815 0.815
0.815 0.185 0.185
0.815 0.185 0.815
0.815 0.815 0.185
0.300 0.300 0.700
0.300 0.700 0.300
0.300 0.700 0.700
0.700 0.300 0.300
0.700 0.300 0.700
0.700 0.700 0.300
```

Main lines, most intense first (15° ≤ 2θ ≤ 90°):
2θ (°)	I_rel
24.72	100
17.41	69
35.25	61
15.07	35
57.20	32
50.70	28
43.53	27
69.00	25
29.08	22
39.57	11

Entry 9:
# Re3Tc2
Computed X-ray diffraction stick pattern, Cu Kα (weighted mean of Kα1 and Kα2). Input: a structure optimized by DFT (GGA-PBE).

Atomic structure:
```
Re3Tc2
1.0
4.667 -2.396 0.000
4.667 2.396 0.000
-2.613 0.000 6.620
Re Tc
6 4
Direct
0.030 0.366 0.650
0.167 0.833 0.750
0.366 0.030 0.150
0.634 0.970 0.850
0.833 0.167 0.250
0.970 0.634 0.350
0.231 0.568 0.050
0.432 0.769 0.450
0.568 0.231 0.550
0.769 0.432 0.950
```

Main lines, most intense first (15° ≤ 2θ ≤ 90°):
2θ (°)	I_rel
42.82	100
40.48	26
37.50	24
75.23	19
56.36	15
81.95	14
67.71	11
83.42	10
81.83	7
67.58	6

Entry 10:
# Ga7Pt5
Computed X-ray diffraction stick pattern, Cu Kα (weighted mean of Kα1 and Kα2). Input: a structure optimized by DFT (GGA-PBE).

Atomic structure:
```
Ga7Pt5
1.0
4.883 -1.965 0.000
4.883 1.965 0.000
-2.270 0.000 10.837
Ga Pt
7 5
Direct
0.000 0.000 0.000
0.162 0.162 0.530
0.244 0.244 0.836
0.464 0.464 0.724
0.536 0.536 0.276
0.756 0.756 0.164
0.838 0.838 0.470
0.244 0.244 0.319
0.362 0.362 0.070
0.500 0.500 0.500
0.638 0.638 0.930
0.756 0.756 0.681
```

Main lines, most intense first (15° ≤ 2θ ≤ 90°):
2θ (°)	I_rel
38.59	100
43.18	76
46.21	70
27.74	69
24.49	58
37.47	58
27.30	56
40.78	55
39.93	50
45.54	34

Entry 11:
# BeZn2Si2Ni5
Computed X-ray diffraction stick pattern, Cu Kα (weighted mean of Kα1 and Kα2). Input: a structure optimized by DFT (GGA-PBE).

Atomic structure:
```
BeZn2Si2Ni5
1.0
9.452 0.000 0.000
0.000 9.452 0.000
0.000 0.000 2.632
Be Zn Si Ni
2 4 4 10
Direct
0.000 0.000 0.000
0.500 0.500 0.000
0.169 0.331 0.000
0.331 0.831 0.000
0.669 0.169 0.000
0.831 0.669 0.000
0.143 0.643 0.000
0.357 0.143 0.000
0.643 0.857 0.000
0.857 0.357 0.000
0.000 0.500 0.500
0.028 0.806 0.500
0.194 0.028 0.500
0.306 0.528 0.500
0.472 0.306 0.500
0.500 0.000 0.500
0.528 0.694 0.500
0.694 0.472 0.500
0.806 0.972 0.500
0.972 0.194 0.500
```

Main lines, most intense first (15° ≤ 2θ ≤ 90°):
2θ (°)	I_rel
40.49	100
45.95	83
39.30	42
52.01	41
39.18	32
43.78	23
58.60	23
82.19	21
85.75	20
40.37	17

Entry 12:
# Tb3Zn2Rh7
Computed X-ray diffraction stick pattern, Cu Kα (weighted mean of Kα1 and Kα2). Input: a structure optimized by DFT (GGA-PBE).

Atomic structure:
```
Tb3Zn2Rh7
1.0
2.698 1.557 8.322
-2.698 1.557 8.322
0.000 -3.115 8.322
Tb Zn Rh
3 2 7
Direct
0.000 0.000 0.000
0.140 0.140 0.140
0.860 0.860 0.860
0.334 0.334 0.334
0.666 0.666 0.666
0.078 0.585 0.585
0.415 0.415 0.922
0.415 0.922 0.415
0.500 0.500 0.500
0.585 0.078 0.585
0.585 0.585 0.078
0.922 0.415 0.415
```

Main lines, most intense first (15° ≤ 2θ ≤ 90°):
2θ (°)	I_rel
39.82	100
38.71	46
34.56	35
33.21	34
31.56	33
42.73	28
69.72	27
63.81	24
65.91	20
43.50	17

Which formula does entry 3 have?
Na2Hg2BiPd5